# AlReBiO6
Simulated powder diffractogram, Cu Kα X-rays. Input: DFT lattice parameters and positions (GGA-PBE).
Kinematic intensities with the Lorentz-polarization factor, no thermal factor.

Principal peaks in the range 2θ from 10° to 80°, by intensity:
| 2θ (°) | d (Å) | I_rel | (hkl) |
| --- | --- | --- | --- |
| 26.9 | 3.313 | 1000 | 1 0 1 |
| 51.2 | 1.786 | 310 | 2 -1 2 |
| 35.0 | 2.561 | 296 | 1 1 0 |
| 44.7 | 2.026 | 247 | 2 0 1 |
| 58.0 | 1.589 | 242 | 3 -1 1 |
| 20.0 | 4.437 | 214 | 1 0 0 |
| 59.4 | 1.555 | 108 | 1 0 3 |
| 62.8 | 1.479 | 94 | 3 0 0 |

Structural model:
```
data_AlReBiO6
_cell_length_a 5.1228
_cell_length_b 5.1228
_cell_length_c 4.9806
_cell_angle_alpha 90.00
_cell_angle_beta 90.00
_cell_angle_gamma 120.00
_space_group_name_H-M_alt 'P 3 1 2'
_space_group_IT_number 149
loop_
_space_group_symop_operation_xyz
'x,y,z'
'-y,x-y,z'
'-x+y,-x,z'
'-y,-x,-z'
'-x+y,y,-z'
'x,x-y,-z'
loop_
_atom_site_label
_atom_site_fract_x
_atom_site_fract_y
_atom_site_fract_z
Al1 0.0000 0.0000 0.0000
Re1 0.6667 0.3333 0.0000
Bi1 0.3333 0.6667 0.5000
O1 0.3308 0.0391 0.2117
```

# KAsRuC2
Simulated powder diffractogram, Cu Kα X-rays. Input: DFT lattice parameters and positions (GGA-PBE).
Kinematic intensities with the Lorentz-polarization factor, no thermal factor.

Principal peaks in the range 2θ from 10° to 80°, by intensity:
| 2θ (°) | d (Å) | I_rel | (hkl) |
| --- | --- | --- | --- |
| 26.1 | 3.415 | 1000 | 1 0 1 |
| 28.0 | 3.192 | 653 | 0 0 2 |
| 31.3 | 2.858 | 640 | 1 1 0 |
| 42.5 | 2.129 | 553 | 1 1 2 |
| 53.7 | 1.707 | 385 | 2 0 2 |
| 44.9 | 2.021 | 333 | 2 0 0 |
| 52.6 | 1.739 | 295 | 2 1 1 |
| 48.3 | 1.883 | 189 | 1 0 3 |

Structural model:
```
data_KAsRuC2
_cell_length_a 4.041
_cell_length_b 4.041
_cell_length_c 6.384
_cell_angle_alpha 90.00
_cell_angle_beta 90.00
_cell_angle_gamma 90.00
_space_group_name_H-M_alt 'P 4/m m m'
_space_group_IT_number 123
_space_group_name_Hall '-P 4 2'
loop_
_atom_site_label
_atom_site_fract_x
_atom_site_fract_y
_atom_site_fract_z
K1 0.000 0.000 0.000
As1 0.500 0.500 0.000
Ru1 0.000 0.000 0.500
C1 0.000 0.500 0.500
```

# K6NaAu2IO8
Simulated powder diffractogram, Cu Kα X-rays. Input: DFT lattice parameters and positions (GGA-PBE).
Kinematic intensities with the Lorentz-polarization factor, no thermal factor.

Principal peaks in the range 2θ from 10° to 80°, by intensity:
| 2θ (°) | d (Å) | I_rel | (hkl) |
| --- | --- | --- | --- |
| 17.2 | 5.157 | 1000 | 1 1 0 |
| 30.7 | 2.916 | 637 | 1 3 0 |
| 17.7 | 4.999 | 483 | 0 2 0 |
| 29.7 | 3.010 | 416 | 2 0 0 |
| 31.1 | 2.879 | 347 | 1 1 -4 |
| 40.3 | 2.240 | 244 | 3 1 -4 |
| 36.2 | 2.481 | 238 | 2 2 -4 |
| 39.7 | 2.270 | 204 | 0 2 4 |

Structural model:
```
data_K6NaAu2IO8
_cell_length_a 7.177
_cell_length_b 9.998
_cell_length_c 12.149
_cell_angle_alpha 90.00
_cell_angle_beta 122.98
_cell_angle_gamma 90.00
_space_group_name_H-M_alt 'P 1 2/c 1'
_space_group_IT_number 13
loop_
_space_group_symop_operation_xyz
'x,y,z'
'-x,-y,-z'
'-x,y,-z+1/2'
'x,-y,z+1/2'
loop_
_atom_site_label
_atom_site_fract_x
_atom_site_fract_y
_atom_site_fract_z
K1 0.000 0.141 0.250
K2 0.013 0.159 0.911
K3 0.474 0.314 0.587
K4 0.500 0.340 0.250
Na1 0.500 0.006 0.250
Au1 0.000 0.459 0.750
Au2 0.000 0.500 0.000
I1 0.500 0.000 0.000
O1 0.216 0.450 0.691
O2 0.262 0.072 0.513
O3 0.289 0.080 0.833
O4 0.499 0.160 0.409
```